1.
Theoretical PXRD pattern of SrCrF4 for CuKα, from a crystal structure in the Materials Project, relaxed with PBE+U.

```
data_SrCrF4
_space_group_name_H-M_alt 'P 1'
_space_group_IT_number 1
_space_group_name_Hall 'P 1'
_cell_length_a 6.9621
_cell_length_b 6.9621
_cell_length_c 6.9621
_cell_angle_alpha 133.11
_cell_angle_beta 130.13
_cell_angle_gamma 70.86
loop_
_atom_site_label
_atom_site_fract_x
_atom_site_fract_y
_atom_site_fract_z
Sr1 0.0000 0.0000 0.0000
Sr2 0.5000 0.5000 0.0000
Cr1 0.2500 0.7500 0.5000
Cr2 0.7500 0.2500 0.5000
F1 0.0741 0.5480 0.8773
F2 0.1707 0.0480 0.4739
F3 0.3293 0.8032 0.8773
F4 0.4259 0.3032 0.4739
F5 0.5741 0.6968 0.5261
F6 0.6707 0.1968 0.1227
F7 0.8293 0.9520 0.5261
F8 0.9259 0.4520 0.1227
```

Principal peaks in the range 2θ = 10–90°, in order of falling intensity:
2θ/deg	Rel. int.
27.1	100
44.4	26
45.8	20
45.0	19
52.1	15
54.5	14
53.5	14
56.0	7

***

2.
Theoretical PXRD pattern of Li3CoO2F for CuKα, from a crystal structure in the Materials Project, relaxed with PBE+U.

```
data_Li3CoO2F
_space_group_name_H-M_alt 'P 1'
_space_group_IT_number 1
_space_group_name_Hall 'P 1'
_cell_length_a 5.1997
_cell_length_b 5.3610
_cell_length_c 5.8920
_cell_angle_alpha 63.10
_cell_angle_beta 88.38
_cell_angle_gamma 86.63
loop_
_atom_site_label
_atom_site_fract_x
_atom_site_fract_y
_atom_site_fract_z
Li1 0.0675 0.2678 0.0131
Li2 0.1496 0.6997 0.5039
Li3 0.4012 0.5150 0.1982
Li4 0.5988 0.4850 0.8018
Li5 0.8504 0.3003 0.4961
Li6 0.9325 0.7322 0.9869
Co1 0.3834 0.9747 0.8069
Co2 0.6166 0.0253 0.1931
O1 0.2528 0.6260 0.8418
O2 0.2726 0.9136 0.1596
O3 0.7274 0.0864 0.8404
O4 0.7472 0.3740 0.1582
F1 0.2202 0.3158 0.5050
F2 0.7798 0.6842 0.4950
```

Principal peaks in the range 2θ = 10–90°, in order of falling intensity:
2θ/deg	Rel. int.
26.0	100
18.6	98
17.1	77
24.1	70
30.5	63
24.7	46
38.6	38
38.4	35

***

3.
Theoretical PXRD pattern of CaMo2O6 for CuKα, from a crystal structure in the Materials Project, relaxed with PBE+U.

```
data_CaMo2O6
_space_group_name_H-M_alt 'P 1'
_space_group_IT_number 1
_space_group_name_Hall 'P 1'
_cell_length_a 5.4498
_cell_length_b 7.7874
_cell_length_c 5.5204
_cell_angle_alpha 90.00
_cell_angle_beta 90.05
_cell_angle_gamma 90.00
loop_
_atom_site_label
_atom_site_fract_x
_atom_site_fract_y
_atom_site_fract_z
Ca1 0.0000 0.0000 0.0000
Ca2 0.4986 0.5000 0.4135
Mo1 0.0063 0.2496 0.4614
Mo2 0.0063 0.7504 0.4614
Mo3 0.5065 0.2499 0.9530
Mo4 0.5065 0.7501 0.9530
O1 0.0537 0.0000 0.4499
O2 0.2284 0.2738 0.1792
O3 0.2284 0.7262 0.1792
O4 0.2929 0.2819 0.6705
O5 0.2929 0.7181 0.6705
O6 0.4441 0.0000 0.9475
O7 0.5539 0.5000 0.9648
O8 0.7282 0.2255 0.2352
O9 0.7282 0.7745 0.2352
O10 0.7932 0.2187 0.7441
O11 0.7932 0.7813 0.7441
O12 0.9438 0.5000 0.4662
```

Principal peaks in the range 2θ = 10–90°, in order of falling intensity:
2θ/deg	Rel. int.
22.9	100
32.6	96
22.9	50
46.9	38
58.0	28
32.4	25
32.9	23
58.5	21

***

4.
Theoretical PXRD pattern of UBi4WO12 for CuKα, from a crystal structure in the Materials Project, relaxed with PBE+U.

```
data_UBi4WO12
_space_group_name_H-M_alt 'P 1'
_space_group_IT_number 1
_space_group_name_Hall 'P 1'
_cell_length_a 3.9880
_cell_length_b 3.9880
_cell_length_c 16.5497
_cell_angle_alpha 90.00
_cell_angle_beta 90.00
_cell_angle_gamma 90.00
loop_
_atom_site_label
_atom_site_fract_x
_atom_site_fract_y
_atom_site_fract_z
U1 0.0000 0.0000 0.0000
Bi1 0.0000 0.0000 0.3267
Bi2 0.0000 0.0000 0.6733
Bi3 0.5000 0.5000 0.1803
Bi4 0.5000 0.5000 0.8197
W1 0.5000 0.5000 0.5000
O1 0.0000 0.0000 0.1238
O2 0.0000 0.0000 0.8762
O3 0.0000 0.5000 0.0000
O4 0.0000 0.5000 0.2530
O5 0.0000 0.5000 0.5000
O6 0.0000 0.5000 0.7470
O7 0.5000 0.0000 0.0000
O8 0.5000 0.0000 0.2530
O9 0.5000 0.0000 0.5000
O10 0.5000 0.0000 0.7470
O11 0.5000 0.5000 0.3844
O12 0.5000 0.5000 0.6156
```

Principal peaks in the range 2θ = 10–90°, in order of falling intensity:
2θ/deg	Rel. int.
27.6	100
31.7	35
54.0	33
46.0	25
45.5	19
32.5	16
55.0	16
57.0	14

***

5.
Theoretical PXRD pattern of Na3Li6Mn5O9 for CuKα, from a crystal structure in the Materials Project, relaxed with PBE+U.

```
data_Na3Li6Mn5O9
_space_group_name_H-M_alt 'P 1'
_space_group_IT_number 1
_space_group_name_Hall 'P 1'
_cell_length_a 5.8818
_cell_length_b 5.8944
_cell_length_c 9.2760
_cell_angle_alpha 96.04
_cell_angle_beta 96.15
_cell_angle_gamma 119.79
loop_
_atom_site_label
_atom_site_fract_x
_atom_site_fract_y
_atom_site_fract_z
Na1 0.0000 0.0000 0.0000
Na2 0.3187 0.6437 0.9917
Na3 0.6744 0.3212 0.0005
Li1 0.1720 0.1773 0.5695
Li2 0.1981 0.5238 0.4686
Li3 0.4855 0.0896 0.4784
Li4 0.7573 0.8142 0.4859
Li5 0.8516 0.4983 0.5695
Li6 0.9055 0.2308 0.7517
Mn1 0.1009 0.7431 0.2600
Mn2 0.2622 0.9070 0.7460
Mn3 0.4220 0.4312 0.2604
Mn4 0.5823 0.5849 0.7484
Mn5 0.7273 0.0484 0.2622
O1 0.0416 0.3663 0.1792
O2 0.1230 0.8207 0.5073
O3 0.2598 0.2566 0.7998
O4 0.3861 0.0615 0.1759
O5 0.4945 0.4498 0.5090
O6 0.6156 0.9393 0.8290
O7 0.7335 0.7082 0.1681
O8 0.8629 0.1896 0.5003
O9 0.9349 0.5855 0.7998
```

Principal peaks in the range 2θ = 10–90°, in order of falling intensity:
2θ/deg	Rel. int.
38.3	100
19.6	95
30.5	74
39.8	54
38.4	49
34.7	46
53.8	45
30.6	36

***

6.
Theoretical PXRD pattern of MgTe3WO12 for CuKα, from a crystal structure in the Materials Project, relaxed with PBE+U.

```
data_MgTe3WO12
_space_group_name_H-M_alt 'P 1'
_space_group_IT_number 1
_space_group_name_Hall 'P 1'
_cell_length_a 5.3089
_cell_length_b 5.4757
_cell_length_c 7.6839
_cell_angle_alpha 93.24
_cell_angle_beta 90.05
_cell_angle_gamma 90.43
loop_
_atom_site_label
_atom_site_fract_x
_atom_site_fract_y
_atom_site_fract_z
Mg1 0.0000 0.0000 0.0000
Te1 0.4906 0.0940 0.7053
Te2 0.4996 0.0836 0.2164
Te3 0.9981 0.5854 0.7154
W1 0.0026 0.5792 0.2256
O1 0.0921 0.6183 0.9653
O2 0.1754 0.2835 0.6629
O3 0.1785 0.9030 0.2469
O4 0.2897 0.7749 0.6513
O5 0.3005 0.4135 0.2614
O6 0.3731 0.1016 0.9713
O7 0.5982 0.0920 0.4574
O8 0.6982 0.4022 0.7702
O9 0.7157 0.8011 0.1491
O10 0.8207 0.8974 0.7725
O11 0.8235 0.2826 0.1447
O12 0.8866 0.5894 0.4541
```

Principal peaks in the range 2θ = 10–90°, in order of falling intensity:
2θ/deg	Rel. int.
23.2	100
23.4	49
32.5	37
33.8	28
32.8	18
33.9	14
41.4	13
53.0	13

***

7.
Theoretical PXRD pattern of Sr2FeO3 for CuKα, from a crystal structure in the Materials Project, relaxed with PBE+U.

```
data_Sr2FeO3
_space_group_name_H-M_alt 'P 1'
_space_group_IT_number 1
_space_group_name_Hall 'P 1'
_cell_length_a 7.0696
_cell_length_b 7.0696
_cell_length_c 7.0696
_cell_angle_alpha 150.75
_cell_angle_beta 147.29
_cell_angle_gamma 44.45
loop_
_atom_site_label
_atom_site_fract_x
_atom_site_fract_y
_atom_site_fract_z
Sr1 0.1502 0.1502 0.0000
Sr2 0.8498 0.8498 0.0000
Fe1 0.5000 0.5000 0.0000
O1 0.0000 0.5000 0.5000
O2 0.3423 0.3423 0.0000
O3 0.6577 0.6577 0.0000
```

Principal peaks in the range 2θ = 10–90°, in order of falling intensity:
2θ/deg	Rel. int.
33.7	100
32.4	78
30.4	64
54.4	36
57.0	32
41.4	27
45.6	26
43.9	22

***

8.
Theoretical PXRD pattern of V2NiO8 for CuKα, from a crystal structure in the Materials Project, relaxed with PBE+U.

```
data_V2NiO8
_space_group_name_H-M_alt 'P 1'
_space_group_IT_number 1
_space_group_name_Hall 'P 1'
_cell_length_a 5.5741
_cell_length_b 10.9277
_cell_length_c 11.7523
_cell_angle_alpha 90.00
_cell_angle_beta 90.00
_cell_angle_gamma 90.00
loop_
_atom_site_label
_atom_site_fract_x
_atom_site_fract_y
_atom_site_fract_z
V1 0.1985 0.0336 0.1718
V2 0.1985 0.4664 0.1718
V3 0.3015 0.5336 0.6718
V4 0.3015 0.9664 0.6718
V5 0.6985 0.0336 0.3282
V6 0.6985 0.4664 0.3282
V7 0.8015 0.5336 0.8282
V8 0.8015 0.9664 0.8282
Ni1 0.0178 0.7500 0.0450
Ni2 0.4822 0.2500 0.5450
Ni3 0.5178 0.7500 0.4550
Ni4 0.9822 0.2500 0.9550
O1 0.0061 0.0697 0.2904
O2 0.0061 0.4303 0.2904
O3 0.1149 0.1166 0.0591
O4 0.1149 0.3834 0.0591
O5 0.1706 0.6180 0.1440
O6 0.1706 0.8820 0.1440
O7 0.1778 0.2500 0.4658
O8 0.2251 0.7500 0.3775
O9 0.2749 0.2500 0.8775
O10 0.3222 0.7500 0.9658
O11 0.3294 0.1180 0.6440
O12 0.3294 0.3820 0.6440
O13 0.3851 0.6166 0.5591
O14 0.3851 0.8834 0.5591
O15 0.4939 0.5697 0.7904
O16 0.4939 0.9303 0.7904
O17 0.5061 0.0697 0.2096
O18 0.5061 0.4303 0.2096
O19 0.6149 0.1166 0.4409
O20 0.6149 0.3834 0.4409
O21 0.6706 0.6180 0.3560
O22 0.6706 0.8820 0.3560
O23 0.6778 0.2500 0.0342
O24 0.7251 0.7500 0.1225
O25 0.7749 0.2500 0.6225
O26 0.8222 0.7500 0.5342
O27 0.8294 0.1180 0.8560
O28 0.8294 0.3820 0.8560
O29 0.8851 0.6166 0.9409
O30 0.8851 0.8834 0.9409
O31 0.9939 0.5697 0.7096
O32 0.9939 0.9303 0.7096
```

Principal peaks in the range 2θ = 10–90°, in order of falling intensity:
2θ/deg	Rel. int.
22.2	100
17.6	78
22.0	58
27.4	55
25.6	36
33.0	23
42.7	16
50.5	15